Computed PXRD pattern
Compound: ErPa3Ir4
Radiation: Cu Kα (weighted mean of Kα1 and Kα2)
Structure: the PBE geometry in Alexandria
Neutral-atom scattering factors, no anomalous dispersion.

Principal peaks in the range 10° ≤ 2θ ≤ 90°, by angle:
d_spacing	two_theta	I/Imax	index
2.759	32.45	85	4 0 0
2.707	33.09	100	0 2 1
2.695	33.25	90	2 2 -1
2.231	40.43	62	2 2 1
2.210	40.82	64	4 2 -1
2.070	43.72	49	0 4 0

a = 11.614 Å, b = 8.281 Å, c = 3.766 Å
α = 90.00°, β = 108.17°, γ = 90.00°
Space group Cm (No. 8)
Inequivalent atoms, fractional coordinates:
Er1 0.000 0.000 0.000 (multiplicity 2)
Pa1 0.000 0.500 0.002 (multiplicity 2)
Pa2 0.224 0.248 0.720 (multiplicity 4)
Ir1 0.262 0.000 0.255 (multiplicity 2)
Ir2 0.262 0.500 0.258 (multiplicity 2)
Ir3 0.461 0.237 0.463 (multiplicity 4)


Computed PXRD pattern
Compound: SrNi2N2
Radiation: Cu Kα (weighted mean of Kα1 and Kα2)
Structure: the PBE geometry in Alexandria
Neutral-atom scattering factors, no anomalous dispersion.

Principal peaks in the range 10° ≤ 2θ ≤ 90°, by angle:
d_spacing	two_theta	I/Imax	index
2.661	33.68	100	0 1 1
2.120	42.64	42	1 0 2
1.709	53.64	33	1 1 0
1.672	54.92	12	0 1 3
1.438	64.85	14	2 0 1
1.306	72.35	15	1 1 3

a = 3.4174 Å, b = 3.4174 Å, c = 6.0777 Å
α = 90.00°, β = 90.00°, γ = 120.00°
Space group P-3m1 (No. 164)
Inequivalent atoms, fractional coordinates:
Sr1 0.0000 0.0000 0.0000 (multiplicity 1)
Ni1 0.3333 0.6667 0.3820 (multiplicity 2)
N1 0.3333 0.6667 0.7037 (multiplicity 2)


Computed PXRD pattern
Compound: Hf3Ga3Ru
Radiation: Cu Kα (weighted mean of Kα1 and Kα2)
Structure: the PBE geometry in Alexandria
Neutral-atom scattering factors, no anomalous dispersion.

Principal peaks in the range 10° ≤ 2θ ≤ 90°, by angle:
d_spacing	two_theta	I/Imax	index
2.851	31.38	33	0 2 4
2.702	33.16	51	1 1 3
2.469	36.39	100	1 3 0
2.394	37.56	98	1 1 4
2.171	41.60	32	1 3 3
2.060	43.96	33	0 4 4

a = 3.546 Å, b = 10.320 Å, c = 13.681 Å
α = 90.00°, β = 90.00°, γ = 90.00°
Space group Cmcm (No. 63)
Inequivalent atoms, fractional coordinates:
Hf1 0.000 0.010 0.250 (multiplicity 4)
Hf2 0.000 0.320 0.092 (multiplicity 8)
Ga1 0.000 0.252 0.750 (multiplicity 4)
Ga2 0.000 0.400 0.606 (multiplicity 8)
Ru1 0.000 0.000 0.000 (multiplicity 4)


Computed PXRD pattern
Compound: Ag8GeAu6
Radiation: Cu Kα (weighted mean of Kα1 and Kα2)
Structure: the PBE geometry in Alexandria
Neutral-atom scattering factors, no anomalous dispersion.

Principal peaks in the range 10° ≤ 2θ ≤ 90°, by angle:
d_spacing	two_theta	I/Imax	index
3.923	22.67	29	1 1 0
3.232	27.60	18	2 -1 3
2.307	39.04	100	2 -1 6
2.265	39.80	78	3 0 0
1.616	56.98	30	2 2 6
1.315	71.75	28	5 -1 6

a = 7.8451 Å, b = 7.8451 Å, c = 17.1161 Å
α = 90.00°, β = 90.00°, γ = 120.00°
Space group R-3 (No. 148, hexagonal axes)
Inequivalent atoms, fractional coordinates:
Ag1 0.0000 0.0000 0.1729 (multiplicity 6)
Ag2 0.0090 0.3606 0.3797 (multiplicity 18)
Ge1 0.0000 0.0000 0.5000 (multiplicity 3)
Au1 0.0068 0.3190 0.5513 (multiplicity 18)


Please write out number 1 again, unchanged.
Computed PXRD pattern
Compound: ErPa3Ir4
Radiation: Cu Kα (weighted mean of Kα1 and Kα2)
Structure: the PBE geometry in Alexandria
Neutral-atom scattering factors, no anomalous dispersion.

Principal peaks in the range 10° ≤ 2θ ≤ 90°, by angle:
d_spacing	two_theta	I/Imax	index
2.759	32.45	85	4 0 0
2.707	33.09	100	0 2 1
2.695	33.25	90	2 2 -1
2.231	40.43	62	2 2 1
2.210	40.82	64	4 2 -1
2.070	43.72	49	0 4 0

a = 11.614 Å, b = 8.281 Å, c = 3.766 Å
α = 90.00°, β = 108.17°, γ = 90.00°
Space group Cm (No. 8)
Inequivalent atoms, fractional coordinates:
Er1 0.000 0.000 0.000 (multiplicity 2)
Pa1 0.000 0.500 0.002 (multiplicity 2)
Pa2 0.224 0.248 0.720 (multiplicity 4)
Ir1 0.262 0.000 0.255 (multiplicity 2)
Ir2 0.262 0.500 0.258 (multiplicity 2)
Ir3 0.461 0.237 0.463 (multiplicity 4)